No. 1
Computed powder XRD pattern
Compound: Tb6In23Pt12
Radiation: Cu Kα, 1.54184 Å
Structure: the PBE geometry in the Materials Project
Intensities are scaled so that the largest is 1000.

Structural model:
Cell lengths 28.701, 4.467, 14.982 Å; angles 90.00, 112.34, 90.00 degrees
Space group C2/m (No. 12)
Inequivalent atoms, fractional coordinates:
Tb (0.046, 0.000, 0.199) [4 per cell]
Tb (0.166, 0.500, 0.031) [4 per cell]
Tb (0.178, 0.500, 0.578) [4 per cell]
In (0.000, 0.500, 0.000) [2 per cell]
In (0.029, 0.000, 0.675) [4 per cell]
In (0.045, 0.500, 0.833) [4 per cell]
In (0.056, 0.500, 0.561) [4 per cell]
In (0.075, 0.000, 0.006) [4 per cell]
In (0.092, 0.000, 0.450) [4 per cell]
In (0.123, 0.500, 0.329) [4 per cell]
In (0.146, 0.500, 0.779) [4 per cell]
In (0.174, 0.000, 0.218) [4 per cell]
In (0.213, 0.000, 0.935) [4 per cell]
In (0.227, 0.000, 0.744) [4 per cell]
In (0.238, 0.500, 0.416) [4 per cell]
Pt (0.033, 0.500, 0.358) [4 per cell]
Pt (0.099, 0.500, 0.135) [4 per cell]
Pt (0.109, 0.000, 0.859) [4 per cell]
Pt (0.119, 0.000, 0.649) [4 per cell]
Pt (0.179, 0.000, 0.411) [4 per cell]
Pt (0.247, 0.000, 0.136) [4 per cell]

Most intense lines, 10 to 90 degrees two-theta, by intensity:
2θ = 40.4°, rel. 1000, (0 2 0); 2θ = 34.2°, rel. 736, (7 1 -4); 2θ = 31.9°, rel. 704, (5 1 2); 2θ = 34.6°, rel. 666, (9 1 -2); 2θ = 40.8°, rel. 517, (11 1 -1); 2θ = 33.4°, rel. 474, (7 1 1); 2θ = 36.2°, rel. 410, (3 1 -5); 2θ = 33.9°, rel. 364, (1 1 4); 2θ = 44.2°, rel. 317, (14 0 -3); 2θ = 42.8°, rel. 315, (3 1 5); 2θ = 42.7°, rel. 215, (9 1 2); 2θ = 38.1°, rel. 207, (8 0 -6)

=====

No. 2
Computed powder XRD pattern
Compound: BaEuS2
Radiation: Cu Kα, 1.54184 Å
Structure: the PBE geometry in the Materials Project
Intensities are scaled so that the largest is 1000.

Structural model:
Cell lengths 4.422, 4.422, 6.255 Å; angles 90.00, 90.00, 90.00 degrees
Space group P4/mmm (No. 123)
Inequivalent atoms, fractional coordinates:
Ba (0.000, 0.000, 0.000) [1 per cell]
Eu (0.500, 0.500, 0.500) [1 per cell]
S (0.000, 0.000, 0.500) [1 per cell]
S (0.500, 0.500, 0.000) [1 per cell]

Most intense lines, 10 to 90 degrees two-theta, by intensity:
2θ = 28.5°, rel. 1000, (1 1 0); 2θ = 40.8°, rel. 743, (2 0 0); 2θ = 24.7°, rel. 706, (1 0 1); 2θ = 48.3°, rel. 370, (2 1 1); 2θ = 66.9°, rel. 337, (3 1 0); 2θ = 50.6°, rel. 262, (2 0 2); 2θ = 74.3°, rel. 251, (3 1 2); 2θ = 65.0°, rel. 155, (3 0 1); 2θ = 59.1°, rel. 122, (2 2 0); 2θ = 79.7°, rel. 118, (3 2 1); 2θ = 88.4°, rel. 84, (4 0 0)

=====

No. 3
Computed powder XRD pattern
Compound: AsI5F6
Radiation: Cu Kα, 1.54184 Å
Structure: the PBE geometry in the Materials Project
Intensities are scaled so that the largest is 1000.

Structural model:
Cell lengths 10.790, 18.610, 8.905 Å; angles 90.00, 127.11, 90.00 degrees
Space group C2/c (No. 15)
Inequivalent atoms, fractional coordinates:
As (0.000, 0.094, 0.250) [4 per cell]
I (0.000, 0.500, 0.000) [4 per cell]
I (0.077, 0.275, 0.068) [8 per cell]
I (0.221, 0.391, 0.060) [8 per cell]
F (0.113, 0.162, 0.422) [8 per cell]
F (0.117, 0.026, 0.421) [8 per cell]
F (0.126, 0.095, 0.186) [8 per cell]

Most intense lines, 10 to 90 degrees two-theta, by intensity:
2θ = 21.0°, rel. 1000, (1 1 1); 2θ = 28.3°, rel. 549, (2 4 -2); 2θ = 19.0°, rel. 383, (2 2 -1); 2θ = 35.3°, rel. 279, (3 5 -2); 2θ = 25.1°, rel. 233, (0 0 2); 2θ = 29.4°, rel. 215, (3 3 -1); 2θ = 39.7°, rel. 189, (1 7 1); 2θ = 26.1°, rel. 182, (1 5 0); 2θ = 47.6°, rel. 121, (3 5 -4); 2θ = 48.8°, rel. 115, (1 9 -2); 2θ = 46.4°, rel. 114, (4 6 -1); 2θ = 42.6°, rel. 103, (5 1 -2)

=====

- Which formula does entry 2 have?
  BaEuS2